# 1
# AlBi2O4
Theoretical X-ray powder pattern, CuKα. Input: a PBE-relaxed structure.
No peak broadening, texture or thermal motion is included.

Top 12 peaks for 10 to 90 degrees two-theta, low angle first:
- 21.25 deg, rel. 211
- 27.71 deg, rel. 1000
- 28.22 deg, rel. 173
- 33.90 deg, rel. 143
- 35.60 deg, rel. 144
- 44.67 deg, rel. 125
- 46.05 deg, rel. 102
- 47.05 deg, rel. 303
- 49.65 deg, rel. 249
- 54.89 deg, rel. 168
- 61.49 deg, rel. 115
- 63.67 deg, rel. 94

Structural model:
abc: 8.3624 8.3624 6.3236
angles: 90.00 90.00 90.00
Fractional coordinates of all 28 atoms:
Al 0.2500 0.2500 0.0672
Al 0.2500 0.2500 0.5672
Al 0.7500 0.7500 0.4328
Al 0.7500 0.7500 0.9328
Bi 0.0824 0.5824 0.2500
Bi 0.0824 0.9176 0.7500
Bi 0.4176 0.5824 0.7500
Bi 0.4176 0.9176 0.2500
Bi 0.5824 0.0824 0.7500
Bi 0.5824 0.4176 0.2500
Bi 0.9176 0.0824 0.2500
Bi 0.9176 0.4176 0.7500
O 0.0503 0.1517 0.5836
O 0.0503 0.3483 0.0836
O 0.1517 0.0503 0.0836
O 0.1517 0.4497 0.5836
O 0.3483 0.0503 0.5836
O 0.3483 0.4497 0.0836
O 0.4497 0.1517 0.0836
O 0.4497 0.3483 0.5836
O 0.5503 0.6517 0.4164
O 0.5503 0.8483 0.9164
O 0.6517 0.5503 0.9164
O 0.6517 0.9497 0.4164
O 0.8483 0.5503 0.4164
O 0.8483 0.9497 0.9164
O 0.9497 0.6517 0.9164
O 0.9497 0.8483 0.4164

=====

# 2
# LiSn2N3
Theoretical X-ray powder pattern, CuKα. Input: a PBE-relaxed structure.
No peak broadening, texture or thermal motion is included.

Top 12 peaks for 10 to 90 degrees two-theta, low angle first:
- 17.91 deg, rel. 364
- 20.14 deg, rel. 107
- 23.40 deg, rel. 252
- 31.76 deg, rel. 1000
- 31.94 deg, rel. 305
- 35.05 deg, rel. 87
- 36.89 deg, rel. 421
- 53.05 deg, rel. 271
- 53.28 deg, rel. 273
- 63.17 deg, rel. 127
- 63.25 deg, rel. 172
- 63.48 deg, rel. 142

Structural model:
abc: 5.9765 5.9765 5.9471
angles: 99.65 99.65 119.89
Fractional coordinates of all 12 atoms:
Li 0.0789 0.9211 0.5000
Li 0.9211 0.0789 0.0000
Sn 0.2465 0.7593 0.9964
Sn 0.4036 0.5674 0.4943
Sn 0.5674 0.4036 0.9943
Sn 0.7593 0.2465 0.4964
N 0.0384 0.2086 0.3707
N 0.2086 0.0384 0.8707
N 0.3848 0.8717 0.3737
N 0.5319 0.6994 0.8722
N 0.6994 0.5319 0.3722
N 0.8717 0.3848 0.8737

=====

# 3
# Dy6AlCd3
Theoretical X-ray powder pattern, CuKα. Input: a PBE-relaxed structure.
No peak broadening, texture or thermal motion is included.

Top 12 peaks for 10 to 90 degrees two-theta, low angle first:
- 28.93 deg, rel. 89
- 31.70 deg, rel. 96
- 32.84 deg, rel. 189
- 33.69 deg, rel. 1000
- 34.32 deg, rel. 301
- 37.19 deg, rel. 82
- 48.23 deg, rel. 128
- 48.56 deg, rel. 77
- 59.85 deg, rel. 76
- 60.80 deg, rel. 78
- 61.06 deg, rel. 178
- 70.84 deg, rel. 62

Structural model:
abc: 9.2681 5.2263 11.5394
angles: 90.00 107.02 90.00
Fractional coordinates of all 20 atoms:
Dy 0.0332 0.2500 0.4088
Dy 0.1602 0.7500 0.1741
Dy 0.2666 0.2500 0.0046
Dy 0.3460 0.7500 0.8212
Dy 0.3708 0.2500 0.3344
Dy 0.3936 0.2500 0.6231
Dy 0.6064 0.7500 0.3769
Dy 0.6292 0.7500 0.6656
Dy 0.6540 0.2500 0.1788
Dy 0.7334 0.7500 0.9954
Dy 0.8398 0.2500 0.8259
Dy 0.9668 0.7500 0.5912
Al 0.4559 0.7500 0.1074
Al 0.5441 0.2500 0.8926
Cd 0.0283 0.7500 0.8788
Cd 0.1171 0.2500 0.7222
Cd 0.2726 0.7500 0.4708
Cd 0.7274 0.2500 0.5292
Cd 0.8829 0.7500 0.2778
Cd 0.9717 0.2500 0.1212

=====

# 4
# DyCu9Ni3
Theoretical X-ray powder pattern, CuKα. Input: a PBE-relaxed structure.
No peak broadening, texture or thermal motion is included.

Top 12 peaks for 10 to 90 degrees two-theta, low angle first:
- 30.30 deg, rel. 116
- 33.89 deg, rel. 149
- 37.06 deg, rel. 299
- 37.20 deg, rel. 221
- 37.41 deg, rel. 271
- 42.99 deg, rel. 664
- 43.27 deg, rel. 983
- 43.43 deg, rel. 1000
- 48.25 deg, rel. 116
- 48.71 deg, rel. 260
- 78.92 deg, rel. 187
- 79.58 deg, rel. 121

Structural model:
abc: 6.3798 6.3798 6.3655
angles: 97.97 97.97 135.47
Fractional coordinates of all 13 atoms:
Dy 0.0000 0.0000 0.0000
Cu 0.0115 0.6576 0.6503
Cu 0.2779 0.5006 0.7790
Cu 0.3424 0.9885 0.3497
Cu 0.4994 0.7221 0.2210
Cu 0.5000 0.5000 0.5000
Cu 0.5006 0.2779 0.7790
Cu 0.6576 0.0115 0.6503
Cu 0.7221 0.4994 0.2210
Cu 0.9885 0.3424 0.3497
Ni 0.0000 0.0000 0.5000
Ni 0.0000 0.5000 0.0000
Ni 0.5000 0.0000 0.0000

=====

# 5
# Cs2PrCu2I6
Theoretical X-ray powder pattern, CuKα. Input: a PBE-relaxed structure.
No peak broadening, texture or thermal motion is included.

Top 12 peaks for 10 to 90 degrees two-theta, low angle first:
- 22.61 deg, rel. 616
- 22.95 deg, rel. 687
- 24.22 deg, rel. 257
- 24.82 deg, rel. 809
- 25.39 deg, rel. 421
- 28.25 deg, rel. 494
- 28.44 deg, rel. 1000
- 30.41 deg, rel. 338
- 37.05 deg, rel. 260
- 41.43 deg, rel. 344
- 42.02 deg, rel. 302
- 43.92 deg, rel. 345

Structural model:
abc: 8.6027 8.6027 9.0961
angles: 116.84 116.84 60.89
Fractional coordinates of all 11 atoms:
Cs 0.2271 0.2271 0.2143
Cs 0.7729 0.7729 0.7857
Pr 0.0000 0.0000 0.5000
Cu 0.4408 0.4408 0.7367
Cu 0.5592 0.5592 0.2633
I 0.2094 0.7156 0.2132
I 0.2520 0.2520 0.6771
I 0.2844 0.7906 0.7868
I 0.7156 0.2094 0.2132
I 0.7480 0.7480 0.3229
I 0.7906 0.2844 0.7868